The following is a simulated powder X-ray diffraction pattern of K5Na4. It was derived from a GGA-PBE-relaxed structure, using λ = 1.5418 Å (Cu Kα).

Principal peaks in the range 2θ from 10° to 90°, sorted by position:
two_theta  I (rel.)  h k l
22.19  26.6  1 -1 2
22.26  13.9  1 0 -3
23.98  76.2  1 0 2
26.28  100.0  1 1 -1
26.40  49.5  -2 1 1
27.78  25.0  0 1 3
27.86  12.4  1 0 -4
35.98  15.8  2 0 -4
44.43  11.1  1 -2 5
45.08  11.9  -2 3 3

Structural model:
```
data_K5Na4
_chemical_formula_sum 'K5 Na4'
_space_group_name_H-M_alt 'P -1'
_space_group_IT_number 2
_cell_length_a 6.751
_cell_length_b 6.772
_cell_length_c 13.347
_cell_angle_alpha 90.03
_cell_angle_beta 104.54
_cell_angle_gamma 119.70
loop_
_space_group_symop_operation_xyz
'x,y,z'
'-x,-y,-z'
loop_
_atom_site_label
_atom_site_type_symbol
_atom_site_fract_x
_atom_site_fract_y
_atom_site_fract_z
K1 K 0.000 0.000 0.000
K2 K 0.276 0.140 0.410
K3 K 0.484 0.746 0.222
Na1 Na 0.086 0.538 0.636
Na2 Na 0.275 0.635 0.912
```